For Tb5Dy3Ho3, a cell relaxed with GGA-PBE gives the theoretical powder diffractogram in this record (Cu Kα, 1.54184 Å).
No peak broadening, texture or thermal motion is included.

Largest 10 diffraction maxima, low angle first, 10° ≤ 2θ ≤ 90°:
| two_theta | d_spacing | I/Imax | hkl |
| --- | --- | --- | --- |
| 10.62 | 8.328 | 265 | 1 0 0 |
| 16.28 | 5.444 | 428 | 0 0 1 |
| 26.96 | 3.307 | 397 | 2 0 1 |
| 28.35 | 3.148 | 242 | 2 1 0 |
| 32.25 | 2.776 | 342 | 3 0 0 |
| 32.88 | 2.724 | 1000 | 0 0 2 |
| 36.33 | 2.473 | 508 | 3 0 1 |
| 42.51 | 2.126 | 267 | 3 1 1 |
| 46.74 | 1.944 | 247 | 3 0 2 |
| 61.32 | 1.512 | 194 | 4 2 1 |

Crystal structure
```
data_Tb5Dy3Ho3
_chemical_formula_sum 'Tb5 Dy3 Ho3'
_cell_length_a 9.6165
_cell_length_b 9.6165
_cell_length_c 5.4438
_cell_angle_alpha 90.00
_cell_angle_beta 90.00
_cell_angle_gamma 120.00
_space_group_name_H-M_alt 'P -6 2 m'
_space_group_IT_number 189
_space_group_name_Hall 'P -6 -2'
loop_
_atom_site_label
_atom_site_fract_x
_atom_site_fract_y
_atom_site_fract_z
Tb1 0.0000 0.7384 0.0000
Tb2 0.3333 0.6667 0.0000
Dy1 0.0000 0.5546 0.5000
Ho1 0.0000 0.3720 0.0000
```